(1)
GdMgAu: calculated X-ray powder pattern (Cu Kα X-rays), based on the GGA-PBE geometry in the Materials Project.
Lines closer than 0.1° are merged.

Cell and atoms:
a b c (Å): 7.6617 7.6617 4.1669
angles (deg): 90.00 90.00 120.00
Atoms (fractional coordinates):
Gd  0.0000  0.4123  0.0000
Gd  0.4123  0.0000  0.0000
Gd  0.5877  0.5877  0.0000
Mg  0.0000  0.7542  0.5000
Mg  0.2458  0.2458  0.5000
Mg  0.7542  0.0000  0.5000
Au  0.0000  0.0000  0.0000
Au  0.3333  0.6667  0.5000
Au  0.6667  0.3333  0.5000

Principal peaks in the range 10° ≤ 2θ ≤ 80°, low angle first:
23.22 deg, d 3.831, I 53
25.24 deg, d 3.529, I 29
31.73 deg, d 2.820, I 63
34.56 deg, d 2.595, I 100
40.80 deg, d 2.212, I 39
42.05 deg, d 2.149, I 38
43.43 deg, d 2.083, I 22
54.51 deg, d 1.683, I 17
61.11 deg, d 1.517, I 24
65.26 deg, d 1.430, I 27

(2)
Mg9Si5: calculated X-ray powder pattern (Cu Kα X-rays), based on the GGA-PBE geometry in the Materials Project.
Lines closer than 0.1° are merged.

Cell and atoms:
a b c (Å): 7.4096 7.5638 11.5719
angles (deg): 82.70 76.14 60.84
Atoms (fractional coordinates):
Mg  0.0000  0.0000  0.0000
Mg  0.0032  0.3798  0.8742
Mg  0.0774  0.0070  0.6600
Mg  0.1217  0.4744  0.3397
Mg  0.2315  0.4816  0.0356
Mg  0.3061  0.7758  0.1914
Mg  0.3895  0.4411  0.6986
Mg  0.4044  0.1946  0.4977
Mg  0.4517  0.7018  0.8729
Mg  0.5019  0.1132  0.1945
Mg  0.5534  0.7523  0.5926
Mg  0.6415  0.7028  0.3316
Mg  0.6571  0.1289  0.8710
Mg  0.7300  0.7320  0.0374
Mg  0.7978  0.3252  0.4902
Mg  0.8997  0.9266  0.4010
Mg  0.9849  0.5951  0.6254
Mg  0.9879  0.2573  0.1985
Si  0.0485  0.7274  0.8452
Si  0.2205  0.0374  0.3892
Si  0.3147  0.6201  0.4659
Si  0.3319  0.0671  0.0028
Si  0.3689  0.0755  0.7498
Si  0.5700  0.3834  0.3021
Si  0.6382  0.4040  0.0637
Si  0.7097  0.0058  0.6288
Si  0.7568  0.4008  0.7269
Si  0.9259  0.7914  0.1912

Principal peaks in the range 10° ≤ 2θ ≤ 80°, low angle first:
35.53 deg, d 2.526, I 73
35.71 deg, d 2.515, I 33
36.10 deg, d 2.488, I 100
36.48 deg, d 2.463, I 81
37.05 deg, d 2.427, I 74
37.33 deg, d 2.409, I 33
38.23 deg, d 2.354, I 47
40.91 deg, d 2.206, I 40
41.89 deg, d 2.157, I 48
42.01 deg, d 2.151, I 39

(3)
K3Ge4Au: calculated X-ray powder pattern (Cu Kα X-rays), based on the GGA-PBE geometry in the Materials Project.
Lines closer than 0.1° are merged.

Cell and atoms:
a b c (Å): 6.7118 12.1758 6.1953
angles (deg): 90.00 90.00 90.00
Atoms (fractional coordinates):
K  0.2500  0.0128  0.1688
K  0.2500  0.2500  0.5783
K  0.2500  0.4872  0.1688
K  0.7500  0.5128  0.8312
K  0.7500  0.7500  0.4217
K  0.7500  0.9872  0.8312
Ge  0.0426  0.7500  0.9423
Ge  0.2500  0.6355  0.6727
Ge  0.2500  0.8645  0.6727
Ge  0.4574  0.7500  0.9423
Ge  0.5426  0.2500  0.0577
Ge  0.7500  0.1355  0.3273
Ge  0.7500  0.3645  0.3273
Ge  0.9574  0.2500  0.0577
Au  0.2500  0.7500  0.3092
Au  0.7500  0.2500  0.6908

Principal peaks in the range 10° ≤ 2θ ≤ 80°, low angle first:
14.55 deg, d 6.088, I 64
15.07 deg, d 5.878, I 100
26.25 deg, d 3.395, I 18
26.56 deg, d 3.356, I 18
30.29 deg, d 2.951, I 14
33.76 deg, d 2.655, I 25
35.48 deg, d 2.530, I 34
37.69 deg, d 2.387, I 27
48.47 deg, d 1.878, I 16
52.90 deg, d 1.731, I 14

Please write out number 2 again, unchanged.
Mg9Si5: calculated X-ray powder pattern (Cu Kα X-rays), based on the GGA-PBE geometry in the Materials Project.
Lines closer than 0.1° are merged.

Cell and atoms:
a b c (Å): 7.4096 7.5638 11.5719
angles (deg): 82.70 76.14 60.84
Atoms (fractional coordinates):
Mg  0.0000  0.0000  0.0000
Mg  0.0032  0.3798  0.8742
Mg  0.0774  0.0070  0.6600
Mg  0.1217  0.4744  0.3397
Mg  0.2315  0.4816  0.0356
Mg  0.3061  0.7758  0.1914
Mg  0.3895  0.4411  0.6986
Mg  0.4044  0.1946  0.4977
Mg  0.4517  0.7018  0.8729
Mg  0.5019  0.1132  0.1945
Mg  0.5534  0.7523  0.5926
Mg  0.6415  0.7028  0.3316
Mg  0.6571  0.1289  0.8710
Mg  0.7300  0.7320  0.0374
Mg  0.7978  0.3252  0.4902
Mg  0.8997  0.9266  0.4010
Mg  0.9849  0.5951  0.6254
Mg  0.9879  0.2573  0.1985
Si  0.0485  0.7274  0.8452
Si  0.2205  0.0374  0.3892
Si  0.3147  0.6201  0.4659
Si  0.3319  0.0671  0.0028
Si  0.3689  0.0755  0.7498
Si  0.5700  0.3834  0.3021
Si  0.6382  0.4040  0.0637
Si  0.7097  0.0058  0.6288
Si  0.7568  0.4008  0.7269
Si  0.9259  0.7914  0.1912

Principal peaks in the range 10° ≤ 2θ ≤ 80°, low angle first:
35.53 deg, d 2.526, I 73
35.71 deg, d 2.515, I 33
36.10 deg, d 2.488, I 100
36.48 deg, d 2.463, I 81
37.05 deg, d 2.427, I 74
37.33 deg, d 2.409, I 33
38.23 deg, d 2.354, I 47
40.91 deg, d 2.206, I 40
41.89 deg, d 2.157, I 48
42.01 deg, d 2.151, I 39